(1)
Diffraction record for AcMgNi2H8. The powder XRD pattern is computed, not measured: it uses the GGA-PBE geometry in Alexandria and copper Kα.
Intensities are scaled so that the largest is 100.

Principal peaks in the range 2θ from 10° to 90°, sorted by position:
| Position (°2θ) | I_rel | hkl |
| --- | --- | --- |
| 15.0 | 21 | 0 0 3 |
| 22.1 | 77 | 1 0 1 |
| 23.8 | 19 | 0 1 2 |
| 29.6 | 100 | 1 0 4 |
| 33.4 | 50 | 0 1 5 |
| 37.8 | 61 | 1 1 0 |
| 46.7 | 18 | 0 1 8 |
| 48.8 | 25 | 0 2 4 |
| 51.3 | 15 | 2 0 5 |
| 61.2 | 22 | 1 1 9 |
| 63.3 | 23 | 3 -1 4 |
| 65.5 | 14 | 1 2 5 |

Cell and atoms:
Cell lengths 4.7598, 4.7598, 17.6701 Å; angles 90.00, 90.00, 120.00 degrees
Space group R-3 (No. 148, hexagonal axes)
Asymmetric unit:
Ac 0.0000 0.0000 0.0000 [3 per cell]
Mg 0.0000 0.0000 0.5000 [3 per cell]
Ni 0.0000 0.0000 0.2236 [6 per cell]
H 0.0000 0.0000 0.3103 [6 per cell]
H 0.0061 0.6548 0.5577 [18 per cell]

(2)
Diffraction record for SmTm2Tl3. The powder XRD pattern is computed, not measured: it uses the GGA-PBE geometry in Alexandria and copper Kα.
Intensities are scaled so that the largest is 100.

Principal peaks in the range 2θ from 10° to 90°, sorted by position:
| Position (°2θ) | I_rel | hkl |
| --- | --- | --- |
| 33.3 | 100 | 1 0 3 |
| 33.8 | 49 | 1 1 0 |
| 46.9 | 9 | 0 0 6 |
| 48.6 | 18 | 2 0 0 |
| 59.1 | 19 | 1 1 6 |
| 60.2 | 37 | 2 1 3 |
| 69.8 | 11 | 2 0 6 |
| 71.2 | 6 | 2 2 0 |
| 78.3 | 8 | 1 0 9 |
| 80.9 | 8 | 3 0 3 |
| 81.2 | 8 | 3 1 0 |
| 89.6 | 6 | 2 2 6 |

Cell and atoms:
Cell lengths 3.747, 3.747, 11.628 Å; angles 90.00, 90.00, 90.00 degrees
Space group P4/mmm (No. 123)
Asymmetric unit:
Sm 0.000 0.000 0.000 [1 per cell]
Tm 0.000 0.000 0.338 [2 per cell]
Tl 0.500 0.500 0.177 [2 per cell]
Tl 0.500 0.500 0.500 [1 per cell]

(3)
Diffraction record for Sr2HgRh2. The powder XRD pattern is computed, not measured: it uses the GGA-PBE geometry in Alexandria and copper Kα.
Intensities are scaled so that the largest is 100.

Principal peaks in the range 2θ from 10° to 90°, sorted by position:
| Position (°2θ) | I_rel | hkl |
| --- | --- | --- |
| 17.5 | 73 | 1 1 0 |
| 21.7 | 48 | 1 1 1 |
| 30.5 | 35 | 3 1 -1 |
| 31.5 | 69 | 2 0 2 |
| 32.3 | 90 | 0 2 1 |
| 34.0 | 60 | 3 1 -2 |
| 35.0 | 56 | 3 1 1 |
| 35.4 | 98 | 1 1 -3 |
| 37.4 | 53 | 4 0 -2 |
| 38.5 | 100 | 2 2 1 |
| 45.7 | 52 | 1 1 -4 |
| 62.9 | 36 | 6 2 -1 |

Cell and atoms:
Cell lengths 10.266, 5.883, 8.447 Å; angles 90.00, 104.09, 90.00 degrees
Space group C2/c (No. 15)
Asymmetric unit:
Sr 0.147 0.148 0.147 [8 per cell]
Hg 0.000 0.363 0.750 [4 per cell]
Rh 0.140 0.351 0.507 [8 per cell]

(4)
Diffraction record for In3Ga13. The powder XRD pattern is computed, not measured: it uses the GGA-PBE geometry in Alexandria and copper Kα.
Intensities are scaled so that the largest is 100.

Principal peaks in the range 2θ from 10° to 90°, sorted by position:
| Position (°2θ) | I_rel | hkl |
| --- | --- | --- |
| 35.3 | 17 | 0 3 1 |
| 35.7 | 100 | 0 2 2 |
| 36.2 | 70 | 2 2 0 |
| 38.0 | 37 | 2 0 -2 |
| 43.5 | 20 | 0 4 0 |
| 43.5 | 15 | 2 0 2 |
| 44.3 | 7 | 0 1 3 |
| 45.0 | 13 | 2 3 -1 |
| 59.1 | 13 | 2 4 -2 |
| 66.0 | 7 | 2 3 3 |
| 66.4 | 9 | 2 5 1 |
| 66.8 | 10 | 2 2 -4 |

Cell and atoms:
Cell lengths 6.221, 8.325, 6.377 Å; angles 90.00, 97.40, 90.00 degrees
Space group Pm (No. 6)
Asymmetric unit:
In 0.000 0.000 0.000 [1 per cell]
In 0.326 0.279 0.797 [2 per cell]
Ga 0.021 0.500 0.494 [1 per cell]
Ga 0.079 0.000 0.527 [1 per cell]
Ga 0.125 0.500 0.089 [1 per cell]
Ga 0.304 0.220 0.303 [2 per cell]
Ga 0.521 0.000 0.058 [1 per cell]
Ga 0.525 0.500 0.476 [1 per cell]
Ga 0.594 0.000 0.605 [1 per cell]
Ga 0.661 0.500 0.075 [1 per cell]
Ga 0.782 0.224 0.314 [2 per cell]
Ga 0.820 0.300 0.775 [2 per cell]

(5)
Diffraction record for Pm3PbF. The powder XRD pattern is computed, not measured: it uses the GGA-PBE geometry in Alexandria and copper Kα.
Intensities are scaled so that the largest is 100.

Principal peaks in the range 2θ from 10° to 90°, sorted by position:
| Position (°2θ) | I_rel | hkl |
| --- | --- | --- |
| 29.5 | 78 | 0 2 1 |
| 30.0 | 85 | 2 0 0 |
| 30.9 | 89 | 1 0 -2 |
| 32.3 | 67 | 1 0 2 |
| 32.8 | 68 | 1 2 -1 |
| 33.5 | 100 | 1 2 1 |
| 42.0 | 50 | 2 2 -1 |
| 50.1 | 32 | 0 2 3 |
| 53.3 | 20 | 0 4 0 |
| 55.9 | 25 | 3 2 1 |
| 62.4 | 22 | 2 4 0 |
| 62.9 | 24 | 1 4 -2 |

Cell and atoms:
Cell lengths 5.974, 6.873, 6.445 Å; angles 90.00, 92.85, 90.00 degrees
Space group P2_1/m (No. 11)
Asymmetric unit:
Pm 0.233 0.002 0.357 [4 per cell]
Pm 0.251 0.250 0.888 [2 per cell]
Pb 0.225 0.750 0.857 [2 per cell]
F 0.466 0.250 0.573 [2 per cell]

(6)
Diffraction record for Sm12Dy7Cd. The powder XRD pattern is computed, not measured: it uses the GGA-PBE geometry in Alexandria and copper Kα.
Intensities are scaled so that the largest is 100.

Principal peaks in the range 2θ from 10° to 90°, sorted by position:
| Position (°2θ) | I_rel | hkl |
| --- | --- | --- |
| 15.5 | 24 | 2 0 0 |
| 22.0 | 22 | 2 2 0 |
| 27.0 | 65 | 2 2 2 |
| 31.3 | 100 | 4 0 0 |
| 35.1 | 13 | 4 2 0 |
| 38.6 | 11 | 4 2 2 |
| 44.8 | 73 | 4 4 0 |
| 53.1 | 28 | 6 2 2 |
| 55.7 | 25 | 4 4 4 |
| 65.2 | 11 | 8 0 0 |
| 74.1 | 31 | 8 4 0 |
| 82.6 | 23 | 8 4 4 |

Cell and atoms:
Cell lengths 11.440, 11.440, 11.440 Å; angles 90.00, 90.00, 90.00 degrees
Space group Im-3 (No. 204)
Asymmetric unit:
Sm 0.000 0.241 0.240 [24 per cell]
Dy 0.000 0.000 0.500 [6 per cell]
Dy 0.250 0.250 0.250 [8 per cell]
Cd 0.000 0.000 0.000 [2 per cell]